# 1
This entry pairs a crystal structure of TlPd2N with its simulated powder diffractogram. Radiation: Cu Kα (λ = 1.5418 Å). Structure: a DFT-relaxed cell (GGA-PBE, Alexandria).
Kinematic intensities with the Lorentz-polarization factor, no thermal factor.

Unit cell a=7.007 b=7.007 c=7.007 alpha=135.48 beta=135.48 gamma=64.79
Sites, in units of the cell vectors:
Tl 0.000 0.000 0.000
Tl 0.750 0.250 0.500
Pd 0.374 0.625 0.249
Pd 0.375 0.624 0.749
Pd 0.376 0.125 0.751
Pd 0.875 0.626 0.251
N 0.250 0.750 0.500
N 0.500 0.500 0.000

Most intense lines, 10° ≤ 2θ ≤ 90°, in order of rising 2θ:
d (Å)	2θ (°)	I_rel
3.168	28.17	100
2.655	33.76	14
2.422	37.12	22
2.328	38.68	48
2.162	41.79	20
1.976	45.93	12
1.615	57.02	20
1.585	58.22	29
1.461	63.68	11
1.377	68.08	9

# 2
This entry pairs a crystal structure of PdWN with its simulated powder diffractogram. Radiation: Cu Kα (λ = 1.5418 Å). Structure: a DFT-relaxed cell (GGA-PBE, Alexandria).
Kinematic intensities with the Lorentz-polarization factor, no thermal factor.

Unit cell a=5.478 b=6.250 c=4.952 alpha=90.00 beta=104.00 gamma=90.00
Sites, in units of the cell vectors:
Pd 0.066 0.123 0.249
Pd 0.066 0.377 0.749
Pd 0.934 0.623 0.251
Pd 0.934 0.877 0.751
W 0.456 0.126 0.762
W 0.456 0.374 0.262
W 0.544 0.626 0.738
W 0.544 0.874 0.238
N 0.322 0.663 0.350
N 0.322 0.837 0.850
N 0.678 0.163 0.150
N 0.678 0.337 0.650

Most intense lines, 10° ≤ 2θ ≤ 90°, in order of rising 2θ:
d (Å)	2θ (°)	I_rel
5.316	16.68	29
4.049	21.95	15
2.658	33.72	39
2.483	36.17	100
2.404	37.41	76
2.236	40.34	72
2.045	44.28	15
1.562	59.13	14
1.458	63.86	18
1.310	72.11	15

# 3
This entry pairs a crystal structure of PmN4 with its simulated powder diffractogram. Radiation: Cu Kα (λ = 1.5418 Å). Structure: a DFT-relaxed cell (GGA-PBE, Alexandria).
Kinematic intensities with the Lorentz-polarization factor, no thermal factor.

Unit cell a=5.270 b=6.936 c=7.359 alpha=64.93 beta=69.11 gamma=89.82
Sites, in units of the cell vectors:
Pm 0.000 0.000 0.000
Pm 0.496 0.500 0.000
N 0.087 0.632 0.052
N 0.202 0.214 0.593
N 0.295 0.299 0.406
N 0.355 0.132 0.054
N 0.590 0.133 0.054
N 0.702 0.712 0.592
N 0.797 0.798 0.406
N 0.851 0.634 0.053

Most intense lines, 10° ≤ 2θ ≤ 90°, in order of rising 2θ:
d (Å)	2θ (°)	I_rel
6.132	14.44	99
4.194	21.19	100
3.528	25.24	13
3.462	25.73	31
3.406	26.16	31
3.066	29.12	27
2.635	34.02	17
2.435	36.92	22
2.114	42.77	21
1.966	46.18	13

# 4
This entry pairs a crystal structure of Pm4PrN4 with its simulated powder diffractogram. Radiation: Cu Kα (λ = 1.5418 Å). Structure: a DFT-relaxed cell (GGA-PBE, Alexandria).
Kinematic intensities with the Lorentz-polarization factor, no thermal factor.

Unit cell a=6.324 b=6.324 c=6.324 alpha=99.39 beta=99.39 gamma=132.36
Sites, in units of the cell vectors:
Pm 0.111 0.685 0.795
Pm 0.315 0.111 0.426
Pm 0.685 0.889 0.574
Pm 0.889 0.315 0.205
Pr 0.500 0.500 0.000
N 0.199 0.403 0.602
N 0.403 0.801 0.204
N 0.597 0.199 0.796
N 0.801 0.597 0.398

Most intense lines, 10° ≤ 2θ ≤ 90°, in order of rising 2θ:
d (Å)	2θ (°)	I_rel
2.975	30.04	100
2.587	34.67	46
2.554	35.14	23
1.830	49.84	15
1.818	50.19	31
1.558	59.30	27
1.544	59.92	15
1.487	62.44	15
1.180	81.60	11
1.145	84.64	7

# 5
This entry pairs a crystal structure of PmPr2N3 with its simulated powder diffractogram. Radiation: Cu Kα (λ = 1.5418 Å). Structure: a DFT-relaxed cell (GGA-PBE, Alexandria).
Kinematic intensities with the Lorentz-polarization factor, no thermal factor.

Unit cell a=7.336 b=5.182 c=11.008 alpha=90.00 beta=90.00 gamma=90.00
Sites, in units of the cell vectors:
Pm 0.126 0.250 0.083
Pm 0.374 0.750 0.583
Pm 0.626 0.250 0.417
Pm 0.874 0.750 0.917
Pr 0.126 0.250 0.751
Pr 0.127 0.250 0.417
Pr 0.373 0.750 0.917
Pr 0.374 0.750 0.251
Pr 0.626 0.250 0.749
Pr 0.627 0.250 0.083
Pr 0.873 0.750 0.583
Pr 0.874 0.750 0.249
N 0.125 0.750 0.082
N 0.131 0.750 0.749
N 0.134 0.750 0.419
N 0.366 0.250 0.919
N 0.369 0.250 0.249
N 0.375 0.250 0.582
N 0.625 0.750 0.418
N 0.631 0.750 0.751
N 0.634 0.750 0.081
N 0.866 0.250 0.581
N 0.869 0.250 0.251
N 0.875 0.250 0.918

Most intense lines, 10° ≤ 2θ ≤ 90°, in order of rising 2θ:
d (Å)	2θ (°)	I_rel
2.994	29.84	100
2.593	34.59	75
1.834	49.73	52
1.564	59.08	46
1.497	61.99	18
1.297	72.93	5
1.295	73.04	3
1.190	80.78	19
1.160	83.30	15
1.159	83.39	8

# 6
This entry pairs a crystal structure of Pm8PrN6 with its simulated powder diffractogram. Radiation: Cu Kα (λ = 1.5418 Å). Structure: a DFT-relaxed cell (GGA-PBE, Alexandria).
Kinematic intensities with the Lorentz-polarization factor, no thermal factor.

Unit cell a=9.912 b=9.912 c=9.912 alpha=37.05 beta=37.05 gamma=37.05
Sites, in units of the cell vectors:
Pm 0.065 0.731 0.398
Pm 0.167 0.167 0.167
Pm 0.269 0.602 0.935
Pm 0.398 0.065 0.731
Pm 0.602 0.935 0.269
Pm 0.731 0.398 0.065
Pm 0.833 0.833 0.833
Pm 0.935 0.269 0.602
Pr 0.500 0.500 0.500
N 0.106 0.443 0.780
N 0.220 0.894 0.557
N 0.443 0.780 0.106
N 0.557 0.220 0.894
N 0.780 0.106 0.443
N 0.894 0.557 0.220

Most intense lines, 10° ≤ 2θ ≤ 90°, in order of rising 2θ:
d (Å)	2θ (°)	I_rel
3.074	29.05	30
2.980	29.98	100
2.600	34.49	87
1.860	48.97	28
1.818	50.18	31
1.591	57.95	15
1.565	59.03	26
1.552	59.56	15
1.490	62.31	15
1.152	83.97	13

# 7
This entry pairs a crystal structure of PmPr2N2 with its simulated powder diffractogram. Radiation: Cu Kα (λ = 1.5418 Å). Structure: a DFT-relaxed cell (GGA-PBE, Alexandria).
Kinematic intensities with the Lorentz-polarization factor, no thermal factor.

Unit cell a=6.412 b=6.412 c=7.419 alpha=108.56 beta=108.56 gamma=48.44
Sites, in units of the cell vectors:
Pm 0.156 0.156 0.096
Pm 0.844 0.844 0.904
Pr 0.164 0.164 0.575
Pr 0.492 0.492 0.265
Pr 0.508 0.508 0.735
Pr 0.836 0.836 0.425
N 0.004 0.004 0.244
N 0.333 0.333 0.413
N 0.667 0.667 0.587
N 0.996 0.996 0.756

Most intense lines, 10° ≤ 2θ ≤ 90°, in order of rising 2θ:
d (Å)	2θ (°)	I_rel
3.030	29.48	100
3.001	29.78	99
2.647	33.86	42
2.630	34.08	46
2.559	35.07	42
1.866	48.81	30
1.834	49.71	31
1.585	58.22	28
1.581	58.37	16
1.500	61.84	15

# 8
This entry pairs a crystal structure of PmPr2VN4 with its simulated powder diffractogram. Radiation: Cu Kα (λ = 1.5418 Å). Structure: a DFT-relaxed cell (GGA-PBE, Alexandria).
Kinematic intensities with the Lorentz-polarization factor, no thermal factor.

Unit cell a=6.220 b=6.220 c=12.409 alpha=90.00 beta=90.00 gamma=147.59
Sites, in units of the cell vectors:
Pm 0.087 0.913 0.750
Pm 0.913 0.087 0.250
Pr 0.368 0.632 0.543
Pr 0.368 0.632 0.957
Pr 0.632 0.368 0.043
Pr 0.632 0.368 0.457
V 0.177 0.823 0.250
V 0.823 0.177 0.750
N 0.000 0.000 0.000
N 0.000 0.000 0.500
N 0.271 0.729 0.137
N 0.271 0.729 0.363
N 0.420 0.580 0.750
N 0.580 0.420 0.250
N 0.729 0.271 0.637
N 0.729 0.271 0.863

Most intense lines, 10° ≤ 2θ ≤ 90°, in order of rising 2θ:
d (Å)	2θ (°)	I_rel
3.400	26.21	69
3.102	28.78	40
2.986	29.92	38
2.937	30.44	100
2.561	35.04	46
2.411	37.29	50
1.991	45.57	28
1.876	48.53	18
1.801	50.70	29
1.777	51.42	22

# 9
This entry pairs a crystal structure of PmPr2ZrN4 with its simulated powder diffractogram. Radiation: Cu Kα (λ = 1.5418 Å). Structure: a DFT-relaxed cell (GGA-PBE, Alexandria).
Kinematic intensities with the Lorentz-polarization factor, no thermal factor.

Unit cell a=6.141 b=3.532 c=6.170 alpha=90.00 beta=109.05 gamma=90.00
Sites, in units of the cell vectors:
Pm 0.000 0.000 0.000
Pr 0.000 0.500 0.500
Pr 0.500 0.000 0.500
Zr 0.500 0.500 0.000
N 0.263 0.500 0.230
N 0.273 0.000 0.776
N 0.727 0.000 0.224
N 0.737 0.500 0.770

Most intense lines, 10° ≤ 2θ ≤ 90°, in order of rising 2θ:
d (Å)	2θ (°)	I_rel
2.916	30.66	33
2.902	30.81	33
2.887	30.97	65
2.510	35.78	100
1.786	51.14	12
1.777	51.41	23
1.771	51.61	23
1.766	51.77	11
1.517	61.09	15
1.510	61.40	34

# 10
This entry pairs a crystal structure of Pm4PtN2 with its simulated powder diffractogram. Radiation: Cu Kα (λ = 1.5418 Å). Structure: a DFT-relaxed cell (GGA-PBE, Alexandria).
Kinematic intensities with the Lorentz-polarization factor, no thermal factor.

Unit cell a=6.417 b=6.417 c=12.976 alpha=90.00 beta=90.00 gamma=146.41
Sites, in units of the cell vectors:
Pm 0.000 0.000 0.000
Pm 0.000 0.000 0.500
Pm 0.270 0.730 0.608
Pm 0.270 0.730 0.892
Pm 0.432 0.568 0.250
Pm 0.568 0.432 0.750
Pm 0.730 0.270 0.108
Pm 0.730 0.270 0.392
Pt 0.109 0.891 0.250
Pt 0.891 0.109 0.750
N 0.366 0.634 0.057
N 0.366 0.634 0.443
N 0.634 0.366 0.557
N 0.634 0.366 0.943

Most intense lines, 10° ≤ 2θ ≤ 90°, in order of rising 2θ:
d (Å)	2θ (°)	I_rel
2.869	31.18	73
2.776	32.24	33
2.745	32.63	86
2.689	33.31	100
2.531	35.46	36
1.953	46.49	18
1.853	49.18	49
1.557	59.34	23
1.537	60.21	28
1.487	62.45	17

# 11
This entry pairs a crystal structure of Pm7Pt4N with its simulated powder diffractogram. Radiation: Cu Kα (λ = 1.5418 Å). Structure: a DFT-relaxed cell (GGA-PBE, Alexandria).
Kinematic intensities with the Lorentz-polarization factor, no thermal factor.

Unit cell a=8.067 b=8.067 c=10.833 alpha=128.06 beta=128.06 gamma=35.72
Sites, in units of the cell vectors:
Pm 0.000 0.000 0.000
Pm 0.139 0.139 0.556
Pm 0.282 0.282 0.145
Pm 0.439 0.439 0.744
Pm 0.561 0.561 0.256
Pm 0.718 0.718 0.855
Pm 0.861 0.861 0.444
Pt 0.083 0.083 0.787
Pt 0.225 0.225 0.363
Pt 0.775 0.775 0.637
Pt 0.917 0.917 0.213
N 0.500 0.500 0.000

Most intense lines, 10° ≤ 2θ ≤ 90°, in order of rising 2θ:
d (Å)	2θ (°)	I_rel
4.557	19.48	21
3.513	25.35	24
2.545	35.26	100
2.526	35.55	48
2.488	36.09	93
2.474	36.31	50
1.767	51.72	33
1.451	64.18	17
1.441	64.69	32
1.431	65.19	17

# 12
This entry pairs a crystal structure of Pm2PuN4 with its simulated powder diffractogram. Radiation: Cu Kα (λ = 1.5418 Å). Structure: a DFT-relaxed cell (GGA-PBE, Alexandria).
Kinematic intensities with the Lorentz-polarization factor, no thermal factor.

Unit cell a=5.938 b=6.003 c=12.336 alpha=90.00 beta=90.00 gamma=90.00
Sites, in units of the cell vectors:
Pm 0.010 0.050 0.152
Pm 0.010 0.450 0.652
Pm 0.490 0.550 0.152
Pm 0.490 0.950 0.652
Pm 0.510 0.050 0.348
Pm 0.510 0.450 0.848
Pm 0.990 0.550 0.348
Pm 0.990 0.950 0.848
Pu 0.000 0.000 0.500
Pu 0.000 0.500 0.000
Pu 0.500 0.000 0.000
Pu 0.500 0.500 0.500
N 0.096 0.037 0.666
N 0.096 0.463 0.166
N 0.212 0.194 0.968
N 0.212 0.306 0.468
N 0.288 0.694 0.968
N 0.288 0.806 0.468
N 0.404 0.537 0.666
N 0.404 0.963 0.166
N 0.596 0.037 0.834
N 0.596 0.463 0.334
N 0.712 0.194 0.532
N 0.712 0.306 0.032
N 0.788 0.694 0.532
N 0.788 0.806 0.032
N 0.904 0.537 0.834
N 0.904 0.963 0.334

Most intense lines, 10° ≤ 2θ ≤ 90°, in order of rising 2θ:
d (Å)	2θ (°)	I_rel
6.168	14.36	14
3.001	29.77	26
2.969	30.10	29
2.946	30.34	100
2.111	42.84	21
2.056	44.04	11
1.722	53.19	14
1.710	53.61	23
1.473	63.13	11
1.331	70.78	12